No. 1
The following is a simulated XRD peak list of TiMn2Al2. It was derived from a cell relaxed with PBE, using Cu Kα.
Peak positions follow from Bragg's law for the DFT cell and can differ from measured ones.

Atomic structure:
```
TiMn2Al2
1.0
2.9074 0.0000 0.0000
0.0000 16.6668 0.0000
0.0000 0.0000 3.0098
Ti Mn Al
2 4 4
Cartesian
0.0000 0.0000 0.0000
1.4537 8.3334 0.0000
0.0000 6.8621 1.5049
0.0000 9.8047 1.5049
1.4537 1.4713 1.5049
1.4537 15.1955 1.5049
0.0000 2.9576 0.0000
0.0000 13.7092 0.0000
1.4537 5.3758 0.0000
1.4537 11.2910 0.0000
```

Largest 10 diffraction maxima, by angle, 2θ = 10–80°:
10.62°, 8.333 Å, intensity 100.0
36.84°, 2.440 Å, intensity 23.5
41.20°, 2.191 Å, intensity 61.0
43.62°, 2.075 Å, intensity 76.0
44.38°, 2.041 Å, intensity 55.9
49.48°, 1.842 Å, intensity 16.1
61.63°, 1.505 Å, intensity 10.4
64.05°, 1.454 Å, intensity 9.1
76.85°, 1.240 Å, intensity 16.8
77.85°, 1.227 Å, intensity 19.1

***

No. 2
The following is a simulated XRD peak list of Ti2Mn3Al2. It was derived from a cell relaxed with PBE, using Cu Kα.
Peak positions follow from Bragg's law for the DFT cell and can differ from measured ones.

Atomic structure:
```
Ti2Mn3Al2
1.0
7.4144 0.0000 0.0000
0.0000 4.2704 0.0000
-2.4507 0.0000 6.5411
Ti Mn Al
4 6 4
Cartesian
0.0061 0.0000 2.3088
1.2504 2.1352 4.2323
3.7133 2.1352 2.3088
4.9576 0.0000 4.2323
-1.2253 2.1352 3.2705
0.0116 0.0000 4.7560
1.2449 2.1352 1.7851
2.4819 0.0000 3.2705
3.7188 2.1352 4.7560
4.9522 0.0000 1.7851
-1.2189 2.1352 5.8192
2.4754 0.0000 0.7218
2.4883 0.0000 5.8192
6.1826 2.1352 0.7218
```

Largest 10 diffraction maxima, by angle, 2θ = 10–80°:
13.54°, 6.541 Å, intensity 48.0
25.72°, 3.464 Å, intensity 10.1
40.35°, 2.235 Å, intensity 10.7
42.28°, 2.138 Å, intensity 100.0
44.21°, 2.049 Å, intensity 26.1
44.34°, 2.043 Å, intensity 51.9
44.57°, 2.033 Å, intensity 8.5
62.89°, 1.478 Å, intensity 25.1
77.36°, 1.234 Å, intensity 9.7
78.82°, 1.214 Å, intensity 16.9

***

No. 3
The following is a simulated XRD peak list of TiMn2Al2. It was derived from a cell relaxed with PBE, using Cu Kα.
Peak positions follow from Bragg's law for the DFT cell and can differ from measured ones.

Atomic structure:
```
TiMn2Al2
1.0
7.1091 0.0000 0.0000
0.0000 7.1091 0.0000
0.0000 0.0000 2.8215
Ti Mn Al
2 4 4
Cartesian
0.0000 0.0000 0.0000
3.5545 3.5545 0.0000
1.2083 2.3462 1.4107
2.3462 5.9007 1.4107
4.7629 1.2083 1.4107
5.9007 4.7629 1.4107
0.9099 4.4644 0.0000
2.6446 0.9099 0.0000
4.4644 6.1992 0.0000
6.1992 2.6446 0.0000
```

Largest 10 diffraction maxima, by angle, 2θ = 10–80°:
28.07°, 3.179 Å, intensity 21.8
35.72°, 2.513 Å, intensity 18.3
36.52°, 2.460 Å, intensity 12.1
40.11°, 2.248 Å, intensity 68.4
40.83°, 2.210 Å, intensity 43.0
42.85°, 2.110 Å, intensity 100.0
53.12°, 1.724 Å, intensity 12.4
63.20°, 1.471 Å, intensity 16.0
64.70°, 1.441 Å, intensity 14.1
76.16°, 1.250 Å, intensity 11.3

***

No. 4
The following is a simulated XRD peak list of TiMnAl4. It was derived from a cell relaxed with PBE, using Cu Kα.
Peak positions follow from Bragg's law for the DFT cell and can differ from measured ones.

Atomic structure:
```
TiMnAl4
1.0
5.1278 0.0000 0.0000
0.0000 7.0538 0.0000
-0.0109 0.0000 5.0685
Ti Mn Al
2 2 8
Cartesian
0.0000 0.0000 0.0000
-0.0054 3.5269 2.5342
2.5639 0.0000 0.0000
2.5585 3.5269 2.5342
1.2584 0.9604 2.5362
1.2639 2.5664 0.0019
1.4837 5.2893 1.2659
1.4783 5.2914 3.8001
3.6387 1.7624 1.2684
3.6333 1.7645 3.8026
3.8531 4.4873 5.0666
3.8585 6.0933 2.5323
```

Largest 10 diffraction maxima, by angle, 2θ = 10–80°:
21.59°, 4.116 Å, intensity 71.5
35.42°, 2.534 Å, intensity 22.2
35.61°, 2.521 Å, intensity 23.4
41.49°, 2.176 Å, intensity 100.0
41.77°, 2.163 Å, intensity 44.6
42.36°, 2.134 Å, intensity 70.4
43.65°, 2.074 Å, intensity 55.8
44.00°, 2.058 Å, intensity 48.7
75.36°, 1.261 Å, intensity 17.7
75.46°, 1.260 Å, intensity 16.6

***

No. 5
The following is a simulated XRD peak list of MnAlTl. It was derived from a cell relaxed with PBE, using Cu Kα.
Peak positions follow from Bragg's law for the DFT cell and can differ from measured ones.

Atomic structure:
```
MnAlTl
1.0
3.0719 0.0000 0.0000
0.0000 3.0719 0.0000
0.0000 0.0000 11.9689
Mn Al Tl
2 2 2
Cartesian
0.0000 0.0000 0.0000
1.5360 1.5360 5.9844
0.0000 0.0000 4.5433
1.5360 1.5360 10.5278
0.0000 0.0000 8.0892
1.5360 1.5360 2.1047
```

Largest 10 diffraction maxima, by angle, 2θ = 10–80°:
14.80°, 5.984 Å, intensity 60.9
29.86°, 2.992 Å, intensity 22.1
30.03°, 2.975 Å, intensity 63.8
36.93°, 2.434 Å, intensity 100.0
41.58°, 2.172 Å, intensity 37.7
44.37°, 2.042 Å, intensity 17.3
52.02°, 1.758 Å, intensity 19.4
63.30°, 1.469 Å, intensity 17.9
68.75°, 1.365 Å, intensity 21.4
72.81°, 1.299 Å, intensity 27.1

***

No. 6
The following is a simulated XRD peak list of Tm4Mn3Al16. It was derived from a cell relaxed with PBE, using Cu Kα.
Peak positions follow from Bragg's law for the DFT cell and can differ from measured ones.

Atomic structure:
```
Tm4Mn3Al16
1.0
6.0570 0.0000 0.0000
0.0000 6.0570 0.0000
0.0000 0.0000 11.2390
Tm Mn Al
4 3 16
Cartesian
0.0000 3.0285 2.1158
0.0000 3.0285 9.1232
3.0285 0.0000 2.1158
3.0285 0.0000 9.1232
0.0000 0.0000 0.0000
0.0000 3.0285 5.6195
3.0285 0.0000 5.6195
0.0000 0.0000 2.4056
0.0000 0.0000 8.8334
1.5190 1.5190 4.2704
1.5190 1.5190 6.9686
1.5190 4.5380 4.2704
1.5190 4.5380 6.9686
1.6897 1.6897 0.0000
1.6897 4.3673 0.0000
3.0285 3.0285 2.1686
3.0285 3.0285 9.0704
4.3673 1.6897 0.0000
4.3673 4.3673 0.0000
4.5380 1.5190 4.2704
4.5380 1.5190 6.9686
4.5380 4.5380 4.2704
4.5380 4.5380 6.9686
```

Largest 10 diffraction maxima, by angle, 2θ = 10–80°:
20.74°, 4.283 Å, intensity 89.9
26.16°, 3.406 Å, intensity 30.4
29.49°, 3.028 Å, intensity 40.1
31.73°, 2.820 Å, intensity 83.9
33.62°, 2.666 Å, intensity 38.1
38.21°, 2.355 Å, intensity 100.0
42.20°, 2.141 Å, intensity 60.4
53.75°, 1.705 Å, intensity 36.4
59.63°, 1.550 Å, intensity 24.5
74.48°, 1.274 Å, intensity 37.9

***

No. 7
The following is a simulated XRD peak list of UMn2Al10. It was derived from a cell relaxed with PBE, using Cu Kα.
Peak positions follow from Bragg's law for the DFT cell and can differ from measured ones.

Atomic structure:
```
UMn2Al10
1.0
4.4510 -5.1154 0.0000
4.4510 5.1154 0.0000
0.0000 0.0000 8.9805
U Mn Al
2 4 20
Cartesian
4.4510 3.8144 6.7354
4.4510 -3.8144 2.2451
2.2255 2.5577 0.0000
2.2255 2.5577 4.4903
2.2255 -2.5577 0.0000
2.2255 -2.5577 4.4903
2.4171 1.4097 6.7354
4.4510 3.5133 0.8778
4.4510 3.5133 3.6124
3.0940 1.3297 2.2451
2.0137 0.0000 0.0000
2.0137 0.0000 4.4903
4.4510 1.2832 4.9196
4.4510 1.2832 8.5512
2.4171 -1.4097 2.2451
3.0940 -1.3297 6.7354
5.8079 1.3297 2.2451
6.4848 1.4097 6.7354
4.4510 -1.2832 0.4294
4.4510 -1.2832 4.0609
6.8882 0.0000 0.0000
6.8882 0.0000 4.4903
5.8079 -1.3297 6.7354
4.4510 -3.5133 5.3681
4.4510 -3.5133 8.1027
6.4848 -1.4097 2.2451
```

Largest 10 diffraction maxima, by angle, 2θ = 10–80°:
13.18°, 6.716 Å, intensity 77.6
16.48°, 5.378 Å, intensity 93.3
19.97°, 4.446 Å, intensity 67.7
23.84°, 3.733 Å, intensity 51.5
28.23°, 3.161 Å, intensity 54.2
28.38°, 3.145 Å, intensity 74.2
37.37°, 2.406 Å, intensity 50.1
40.35°, 2.235 Å, intensity 100.0
40.57°, 2.224 Å, intensity 98.6
40.69°, 2.218 Å, intensity 53.1

***

No. 8
The following is a simulated XRD peak list of MnAl4V. It was derived from a cell relaxed with PBE, using Cu Kα.
Peak positions follow from Bragg's law for the DFT cell and can differ from measured ones.

Atomic structure:
```
MnAl4V
1.0
5.0040 0.0000 0.0000
0.0000 6.9360 0.0000
-0.0088 0.0000 5.0494
Mn Al V
2 8 2
Cartesian
0.0000 0.0000 0.0000
-0.0044 3.4680 2.5247
1.1295 1.7353 1.2606
1.1251 1.7327 3.7853
1.3026 4.4293 0.0001
1.2982 5.9747 2.5248
3.6971 0.9613 2.5245
3.6927 2.5067 5.0492
3.8702 5.2033 1.2641
3.8658 5.2007 3.7887
2.5020 0.0000 0.0000
2.4976 3.4680 2.5247
```

Largest 10 diffraction maxima, by angle, 2θ = 10–80°:
21.77°, 4.082 Å, intensity 79.9
35.56°, 2.525 Å, intensity 24.0
36.19°, 2.482 Å, intensity 22.8
42.15°, 2.144 Å, intensity 46.4
42.37°, 2.133 Å, intensity 100.0
43.04°, 2.101 Å, intensity 72.1
44.38°, 2.041 Å, intensity 50.0
44.66°, 2.029 Å, intensity 60.0
51.42°, 1.777 Å, intensity 14.7
76.80°, 1.241 Å, intensity 34.5

***

> Number 7 is which compound?

UMn2Al10